Starting from a structure optimized by DFT (GGA-PBE), the powder diffraction line list of KZnFeH6 was simulated for Cu Kα (λ = 1.5418 Å).
Intensities are scaled so that the largest is 100.

The 10 most intense peaks (15 to 90 degrees two-theta), in order of rising 2θ:
- 16.9°, I 65
- 28.2°, I 100
- 28.5°, I 53
- 34.1°, I 35
- 39.1°, I 25
- 39.9°, I 48
- 43.6°, I 21
- 49.1°, I 20
- 52.9°, I 21
- 53.4°, I 40

Cell and atoms:
```
KZnFeH6
1.0
5.257 0.000 0.000
0.000 2.303 3.894
0.000 -2.303 3.894
K Zn Fe H
1 1 1 6
direct
0.000 0.000 0.000
0.500 0.335 0.335
0.500 0.673 0.673
0.292 0.517 0.961
0.292 0.961 0.517
0.296 0.526 0.526
0.704 0.526 0.526
0.708 0.517 0.961
0.708 0.961 0.517
```